Entry 1:
Theoretical PXRD pattern
Compound: Te4MoW3Se2S2
Radiation: Cu Kα (λ = 1.5418 Å)
Structure: DFT lattice parameters and positions (GGA-PBE)
No peak broadening, texture or thermal motion is included.

Structure:
abc: 3.3985 3.3985 38.6628
angles: 90.00 90.00 120.00
Fractional positions:
Te: 0.0000 0.0000 0.0000
Te: 0.0000 0.0000 0.0973
Te: 0.0000 0.0000 0.3757
Te: 0.0000 0.0000 0.4731
Mo: 0.0000 0.0000 0.8608
W: 0.0000 0.0000 0.2365
W: 0.3333 0.6667 0.0487
W: 0.3333 0.6667 0.4244
Se: 0.3333 0.6667 0.8182
Se: 0.3333 0.6667 0.9034
S: 0.3333 0.6667 0.1975
S: 0.3333 0.6667 0.2755

Main lines, by intensity (2θ from 5° to 70°):
d = 7.733 Å, 11.44 deg, I 100; d = 2.514 Å, 35.72 deg, I 88; d = 12.888 Å, 6.86 deg, I 49; d = 2.092 Å, 43.25 deg, I 48; d = 2.941 Å, 30.39 deg, I 45; d = 1.699 Å, 53.97 deg, I 30



Entry 2:
Theoretical PXRD pattern
Compound: Ba3CoC3N3
Radiation: Cu Kα (λ = 1.5418 Å)
Structure: DFT lattice parameters and positions (GGA-PBE)
No peak broadening, texture or thermal motion is included.

Structure:
abc: 9.1200 9.1200 5.8295
angles: 90.00 90.00 120.00
Fractional positions:
Ba: 0.0698 0.3783 0.2500
Ba: 0.3085 0.9302 0.2500
Ba: 0.3783 0.3085 0.7500
Ba: 0.6217 0.6915 0.2500
Ba: 0.6915 0.0698 0.7500
Ba: 0.9302 0.6217 0.7500
Co: 0.3333 0.6667 0.7500
Co: 0.6667 0.3333 0.2500
C: 0.1554 0.4581 0.7500
C: 0.3026 0.8446 0.7500
C: 0.4581 0.3026 0.2500
C: 0.5419 0.6974 0.7500
C: 0.6974 0.1554 0.2500
C: 0.8446 0.5419 0.2500
N: 0.0335 0.3107 0.7500
N: 0.2772 0.9665 0.7500
N: 0.3107 0.2772 0.2500
N: 0.6893 0.7228 0.7500
N: 0.7228 0.0335 0.2500
N: 0.9665 0.6893 0.2500

Main lines, by intensity (2θ from 5° to 70°):
d = 3.592 Å, 24.79 deg, I 100; d = 2.985 Å, 29.93 deg, I 53; d = 2.915 Å, 30.67 deg, I 46; d = 3.269 Å, 27.28 deg, I 41; d = 2.633 Å, 34.05 deg, I 38; d = 2.086 Å, 43.39 deg, I 37



Entry 3:
Theoretical PXRD pattern
Compound: Ti8O13
Radiation: Cu Kα (λ = 1.5418 Å)
Structure: DFT lattice parameters and positions (GGA-PBE)
No peak broadening, texture or thermal motion is included.

Structure:
abc: 6.5021 6.5021 6.5021
angles: 73.64 73.64 73.64
Fractional positions:
Ti: 0.1840 0.6235 0.4433
Ti: 0.2233 0.2233 0.2233
Ti: 0.3765 0.5567 0.8160
Ti: 0.4433 0.1840 0.6235
Ti: 0.5567 0.8160 0.3765
Ti: 0.6235 0.4433 0.1840
Ti: 0.7767 0.7767 0.7767
Ti: 0.8160 0.3765 0.5567
O: 0.0800 0.6700 0.7584
O: 0.1436 0.2963 0.5405
O: 0.2416 0.9200 0.3300
O: 0.2963 0.5405 0.1436
O: 0.3300 0.2416 0.9200
O: 0.4595 0.8564 0.7037
O: 0.5000 0.5000 0.5000
O: 0.5405 0.1436 0.2963
O: 0.6700 0.7584 0.0800
O: 0.7037 0.4595 0.8564
O: 0.7584 0.0800 0.6700
O: 0.8564 0.7037 0.4595
O: 0.9200 0.3300 0.2416

Main lines, by intensity (2θ from 5° to 70°):
d = 6.086 Å, 14.55 deg, I 100; d = 2.066 Å, 43.83 deg, I 96; d = 2.998 Å, 29.80 deg, I 53; d = 1.473 Å, 63.12 deg, I 26; d = 1.448 Å, 64.31 deg, I 24; d = 3.282 Å, 27.17 deg, I 20



Entry 4:
Theoretical PXRD pattern
Compound: Tm3Pd4
Radiation: Cu Kα (λ = 1.5418 Å)
Structure: DFT lattice parameters and positions (GGA-PBE)
No peak broadening, texture or thermal motion is included.

Structure:
abc: 7.7893 7.7893 7.7893
angles: 114.28 114.28 114.28
Fractional positions:
Tm: 0.0252 0.2789 0.4036
Tm: 0.2789 0.4036 0.0252
Tm: 0.4036 0.0252 0.2789
Tm: 0.5964 0.9748 0.7211
Tm: 0.7211 0.5964 0.9748
Tm: 0.9748 0.7211 0.5964
Pd: 0.0000 0.0000 0.0000
Pd: 0.0624 0.5514 0.2266
Pd: 0.2266 0.0624 0.5514
Pd: 0.4486 0.7734 0.9376
Pd: 0.5000 0.5000 0.5000
Pd: 0.5514 0.2266 0.0624
Pd: 0.7734 0.9376 0.4486
Pd: 0.9376 0.4486 0.7734

Main lines, by intensity (2θ from 5° to 70°):
d = 2.473 Å, 36.33 deg, I 100; d = 2.368 Å, 38.00 deg, I 85; d = 2.753 Å, 32.53 deg, I 49; d = 1.406 Å, 66.48 deg, I 21; d = 1.710 Å, 53.58 deg, I 17; d = 1.917 Å, 47.42 deg, I 17



Entry 5:
Theoretical PXRD pattern
Compound: EuSb2S4
Radiation: Cu Kα (λ = 1.5418 Å)
Structure: DFT lattice parameters and positions (GGA-PBE)
No peak broadening, texture or thermal motion is included.

Structure:
abc: 11.4766 4.0021 14.3309
angles: 90.00 90.00 90.00
Fractional positions:
Eu: 0.2368 0.2500 0.1518
Eu: 0.2632 0.7500 0.6518
Eu: 0.7368 0.2500 0.3482
Eu: 0.7632 0.7500 0.8482
Sb: 0.0682 0.7500 0.3908
Sb: 0.1091 0.7500 0.9056
Sb: 0.3909 0.2500 0.4056
Sb: 0.4318 0.2500 0.8908
Sb: 0.5682 0.7500 0.1092
Sb: 0.6091 0.7500 0.5944
Sb: 0.8909 0.2500 0.0944
Sb: 0.9318 0.2500 0.6092
S: 0.0080 0.7500 0.7136
S: 0.0564 0.7500 0.0871
S: 0.1754 0.2500 0.5110
S: 0.2390 0.2500 0.8021
S: 0.2610 0.7500 0.3021
S: 0.3246 0.7500 0.0110
S: 0.4436 0.2500 0.5871
S: 0.4920 0.2500 0.2136
S: 0.5080 0.7500 0.7864
S: 0.5564 0.7500 0.4129
S: 0.6754 0.2500 0.9890
S: 0.7390 0.2500 0.6979
S: 0.7610 0.7500 0.1979
S: 0.8246 0.7500 0.4890
S: 0.9436 0.2500 0.9129
S: 0.9920 0.2500 0.2864

Main lines, by intensity (2θ from 5° to 70°):
d = 3.375 Å, 26.41 deg, I 100; d = 2.964 Å, 30.15 deg, I 69; d = 3.343 Å, 26.67 deg, I 57; d = 3.583 Å, 24.85 deg, I 47; d = 2.332 Å, 38.61 deg, I 39; d = 2.001 Å, 45.32 deg, I 34



Entry 6:
Theoretical PXRD pattern
Compound: Nd3NbCl3O6
Radiation: Cu Kα (λ = 1.5418 Å)
Structure: DFT lattice parameters and positions (GGA-PBE)
No peak broadening, texture or thermal motion is included.

Structure:
abc: 9.4921 9.4921 5.3287
angles: 90.00 90.00 120.00
Fractional positions:
Nd: 0.0902 0.6869 0.2500
Nd: 0.3131 0.4033 0.2500
Nd: 0.4033 0.0902 0.7500
Nd: 0.5967 0.9098 0.2500
Nd: 0.6869 0.5967 0.7500
Nd: 0.9098 0.3131 0.7500
Nb: 0.3333 0.6667 0.7500
Nb: 0.6667 0.3333 0.2500
Cl: 0.0508 0.8105 0.7500
Cl: 0.1895 0.2403 0.7500
Cl: 0.2403 0.0508 0.2500
Cl: 0.7597 0.9492 0.7500
Cl: 0.8105 0.7597 0.2500
Cl: 0.9492 0.1895 0.2500
O: 0.1563 0.5202 0.5102
O: 0.1563 0.5202 0.9898
O: 0.3639 0.8437 0.5102
O: 0.3639 0.8437 0.9898
O: 0.4798 0.6361 0.5102
O: 0.4798 0.6361 0.9898
O: 0.5202 0.3639 0.0102
O: 0.5202 0.3639 0.4898
O: 0.6361 0.1563 0.0102
O: 0.6361 0.1563 0.4898
O: 0.8437 0.4798 0.0102
O: 0.8437 0.4798 0.4898

Main lines, by intensity (2θ from 5° to 70°):
d = 2.684 Å, 33.38 deg, I 100; d = 3.544 Å, 25.13 deg, I 84; d = 2.023 Å, 44.81 deg, I 57; d = 3.107 Å, 28.73 deg, I 52; d = 3.255 Å, 27.40 deg, I 48; d = 1.778 Å, 51.40 deg, I 38



Entry 7:
Theoretical PXRD pattern
Compound: Ba5Y3F19
Radiation: Cu Kα (λ = 1.5418 Å)
Structure: DFT lattice parameters and positions (GGA-PBE)
No peak broadening, texture or thermal motion is included.

Structure:
abc: 8.2428 11.6969 11.8385
angles: 84.26 69.74 74.96
Fractional positions:
Ba: 0.0518 0.1853 0.1767
Ba: 0.2586 0.1720 0.7738
Ba: 0.2701 0.6694 0.3061
Ba: 0.2815 0.4619 0.9801
Ba: 0.4291 0.2805 0.3267
Ba: 0.5709 0.7195 0.6733
Ba: 0.7185 0.5381 0.0199
Ba: 0.7299 0.3306 0.6939
Ba: 0.7414 0.8280 0.2262
Ba: 0.9482 0.8147 0.8233
Y: 0.1613 0.5168 0.6648
Y: 0.2583 0.9965 0.4874
Y: 0.3357 0.8380 0.0141
Y: 0.6643 0.1620 0.9859
Y: 0.7417 0.0035 0.5126
Y: 0.8387 0.4832 0.3352
F: 0.0000 0.0000 0.5000
F: 0.0190 0.3769 0.7126
F: 0.0444 0.5578 0.8591
F: 0.0717 0.3415 0.3377
F: 0.0874 0.8534 0.1666
F: 0.1340 0.2886 0.9641
F: 0.1993 0.9344 0.6734
F: 0.2030 0.1777 0.5515
F: 0.2523 0.7964 0.8720
F: 0.2602 0.0289 0.9851
F: 0.2712 0.4869 0.4700
F: 0.2801 0.6636 0.6586
F: 0.3179 0.0796 0.3087
F: 0.3537 0.6476 0.0620
F: 0.3641 0.3919 0.7291
F: 0.3878 0.8216 0.4088
F: 0.3894 0.2378 0.1081
F: 0.4394 0.4643 0.1932
F: 0.4585 0.8177 0.1537
F: 0.5000 0.0000 0.5000
F: 0.5415 0.1823 0.8463
F: 0.5606 0.5357 0.8068
F: 0.6106 0.7622 0.8919
F: 0.6122 0.1784 0.5912
F: 0.6359 0.6081 0.2709
F: 0.6463 0.3524 0.9380
F: 0.6821 0.9204 0.6913
F: 0.7199 0.3364 0.3414
F: 0.7288 0.5131 0.5300
F: 0.7398 0.9711 0.0149
F: 0.7477 0.2036 0.1280
F: 0.7970 0.8223 0.4485
F: 0.8007 0.0656 0.3266
F: 0.8660 0.7114 0.0359
F: 0.9126 0.1466 0.8334
F: 0.9283 0.6585 0.6623
F: 0.9556 0.4422 0.1409
F: 0.9810 0.6231 0.2874

Main lines, by intensity (2θ from 5° to 70°):
d = 3.550 Å, 25.08 deg, I 100; d = 3.757 Å, 23.68 deg, I 72; d = 3.525 Å, 25.26 deg, I 64; d = 3.300 Å, 27.02 deg, I 53; d = 4.102 Å, 21.66 deg, I 50; d = 3.585 Å, 24.83 deg, I 44



Entry 8:
Theoretical PXRD pattern
Compound: Li4Y3ZrO8
Radiation: Cu Kα (λ = 1.5418 Å)
Structure: DFT lattice parameters and positions (GGA-PBE)
No peak broadening, texture or thermal motion is included.

Structure:
abc: 5.7845 5.7845 6.3596
angles: 90.00 90.00 113.44
Fractional positions:
Li: 0.0000 0.0000 0.0000
Li: 0.0000 0.5000 0.2451
Li: 0.5000 0.0000 0.7549
Li: 0.5000 0.5000 0.5000
Y: 0.0000 0.5000 0.7478
Y: 0.5000 0.0000 0.2522
Y: 0.5000 0.5000 0.0000
Zr: 0.0000 0.0000 0.5000
O: 0.2301 0.7699 0.5000
O: 0.2383 0.2509 0.7410
O: 0.2509 0.2383 0.2590
O: 0.2608 0.7392 0.0000
O: 0.7392 0.2608 0.0000
O: 0.7491 0.7617 0.2590
O: 0.7617 0.7491 0.7410
O: 0.7699 0.2301 0.5000

Main lines, by intensity (2θ from 5° to 70°):
d = 4.075 Å, 21.81 deg, I 100; d = 2.246 Å, 40.14 deg, I 41; d = 2.655 Å, 33.76 deg, I 33; d = 1.646 Å, 55.86 deg, I 28; d = 1.967 Å, 46.14 deg, I 26; d = 2.418 Å, 37.18 deg, I 25